[1]
For BiTeCl, a structure optimized by DFT (GGA-PBE) gives the calculated powder diffraction line list in this record (λ = 1.5418 Å (Cu Kα)).
Peak positions follow from Bragg's law for the DFT cell and can differ from measured ones.

Principal peaks in the range 2θ = 5–70°, by angle:
d 7.071, I = 96
d 3.727, I = 21
d 3.603, I = 39
d 3.297, I = 38
d 2.923, I = 100
d 2.253, I = 49
d 2.151, I = 40
d 2.058, I = 28
d 1.733, I = 22
d 1.350, I = 19

Cell and atoms:
```
6
Lattice="4.303 0.000 0.000 -2.151 3.727 0.000 0.000 0.000 14.142" Properties=species:S:1:pos:R:3 pbc="T T T"
Bi 0.000 2.484 0.000
Bi 2.151 1.242 7.071
Te 0.000 2.484 8.836
Te 2.151 1.242 1.765
Cl 0.000 0.000 5.428
Cl 0.000 0.000 12.499
```

***

[2]
For Bi3Te2Cl10, a structure optimized by DFT (GGA-PBE) gives the calculated powder diffraction line list in this record (λ = 1.5418 Å (Cu Kα)).
Peak positions follow from Bragg's law for the DFT cell and can differ from measured ones.

Principal peaks in the range 2θ = 5–70°, by angle:
d 14.628, I = 20
d 7.152, I = 18
d 6.572, I = 100
d 5.236, I = 40
d 5.106, I = 23
d 5.002, I = 25
d 4.978, I = 31
d 4.732, I = 42
d 3.414, I = 24
d 3.240, I = 26

Cell and atoms:
```
30
Lattice="7.272 0.000 0.000 -3.225 10.629 0.000 -0.378 -5.178 14.628" Properties=species:S:1:pos:R:3 pbc="T T T"
Bi 0.502 -0.938 3.546
Bi -0.025 5.819 7.689
Bi 1.223 3.531 4.725
Bi 2.446 1.920 9.903
Bi 3.694 -0.368 6.940
Bi 3.168 6.389 11.083
Te -0.750 3.594 0.146
Te -0.272 6.083 1.168
Te 3.941 -0.632 13.460
Te 4.419 1.857 14.483
Cl -2.444 6.150 8.670
Cl -0.234 1.463 3.002
Cl -0.933 4.837 4.478
Cl 1.000 -3.193 12.380
Cl -1.152 9.423 1.491
Cl 0.037 3.040 7.191
Cl -0.763 8.119 5.865
Cl 1.392 -0.167 8.709
Cl 1.633 1.028 12.289
Cl 0.828 4.765 9.984
Cl 2.841 0.686 4.645
Cl 2.036 4.423 2.340
Cl 2.277 5.618 5.920
Cl 4.432 -2.668 8.764
Cl 3.632 2.411 7.437
Cl 4.821 -3.971 13.138
Cl 2.670 8.644 2.248
Cl 4.602 0.614 10.150
Cl 3.903 3.989 11.626
Cl 6.113 -0.699 5.959
```

***

[3]
For Bi3Te2Cl10, a structure optimized by DFT (GGA-PBE) gives the calculated powder diffraction line list in this record (λ = 1.5418 Å (Cu Kα)).
Peak positions follow from Bragg's law for the DFT cell and can differ from measured ones.

Principal peaks in the range 2θ = 5–70°, by angle:
d 15.096, I = 42
d 5.635, I = 92
d 5.358, I = 73
d 4.854, I = 100
d 4.769, I = 31
d 4.310, I = 62
d 3.879, I = 37
d 3.176, I = 35
d 2.753, I = 34
d 2.169, I = 41

Cell and atoms:
```
30
Lattice="7.014 0.000 0.000 -1.609 9.861 0.000 -1.286 -1.407 15.096" Properties=species:S:1:pos:R:3 pbc="T T T"
Bi -0.765 4.192 4.054
Bi -0.541 -1.087 12.694
Bi 2.375 2.862 0.534
Bi 1.744 5.591 14.562
Bi 4.661 9.541 2.402
Bi 4.884 4.261 11.041
Te 1.437 -0.069 8.721
Te 1.002 7.390 8.244
Te 3.117 1.063 6.852
Te 2.682 8.522 6.374
Cl -1.443 8.831 4.720
Cl -1.077 1.323 13.526
Cl -1.197 6.532 10.338
Cl -0.406 3.049 9.699
Cl -0.663 5.568 13.593
Cl 1.772 0.136 0.292
Cl 1.227 2.218 2.843
Cl 0.943 4.216 5.892
Cl 1.816 5.295 1.508
Cl 1.802 -0.327 12.103
Cl 2.317 8.781 2.993
Cl 2.303 3.159 13.588
Cl 3.176 4.237 9.203
Cl 2.892 6.236 12.252
Cl 2.347 8.318 14.804
Cl 4.783 2.885 1.503
Cl 4.525 5.404 5.397
Cl 5.317 1.922 4.757
Cl 5.196 7.130 1.570
Cl 5.563 -0.378 10.375
```

***

[4]
For Bi3Te2Cl10, a structure optimized by DFT (GGA-PBE) gives the calculated powder diffraction line list in this record (λ = 1.5418 Å (Cu Kα)).
Peak positions follow from Bragg's law for the DFT cell and can differ from measured ones.

Principal peaks in the range 2θ = 5–70°, by angle:
d 14.131, I = 41
d 5.455, I = 100
d 5.165, I = 66
d 5.123, I = 50
d 4.846, I = 87
d 4.224, I = 78
d 3.886, I = 43
d 3.469, I = 58
d 2.643, I = 41
d 2.326, I = 45

Cell and atoms:
```
30
Lattice="7.496 0.000 0.000 0.297 8.961 0.000 1.697 0.493 14.131" Properties=species:S:1:pos:R:3 pbc="T T T"
Bi 0.862 0.312 2.371
Bi 2.180 4.681 10.463
Bi 4.908 7.047 13.686
Bi 4.582 2.407 0.444
Bi 7.310 4.772 3.668
Bi 8.628 9.142 11.760
Te 3.459 8.032 6.565
Te 3.781 1.654 6.022
Te 5.709 7.800 8.109
Te 6.031 1.422 7.565
Cl 0.908 0.958 4.967
Cl 0.993 6.086 0.739
Cl 1.815 5.013 5.133
Cl 2.732 2.188 10.367
Cl 2.029 2.655 2.211
Cl 3.613 0.775 13.855
Cl 3.680 7.424 11.341
Cl 3.725 5.069 8.473
Cl 3.296 7.996 2.819
Cl 4.766 4.531 12.692
Cl 4.723 4.922 1.439
Cl 6.194 1.457 11.312
Cl 5.765 4.385 5.658
Cl 5.809 2.030 2.789
Cl 5.877 8.679 0.276
Cl 7.461 6.799 11.920
Cl 6.758 7.266 3.764
Cl 7.675 4.441 8.998
Cl 8.496 3.368 13.392
Cl 8.582 8.495 9.164
```

***

[5]
For Tl3BiCl6, a structure optimized by DFT (GGA-PBE) gives the calculated powder diffraction line list in this record (λ = 1.5418 Å (Cu Kα)).
Peak positions follow from Bragg's law for the DFT cell and can differ from measured ones.

Principal peaks in the range 2θ = 5–70°, by angle:
d 4.547, I = 24
d 4.067, I = 55
d 3.844, I = 50
d 3.595, I = 81
d 2.876, I = 33
d 2.794, I = 100
d 2.034, I = 29
d 1.798, I = 43
d 1.644, I = 25
d 1.397, I = 26

Cell and atoms:
```
20
Lattice="9.095 0.000 0.000 0.000 9.095 0.000 0.000 0.000 7.689" Properties=species:S:1:pos:R:3 pbc="T T T"
Tl 0.000 0.000 0.000
Tl 0.000 0.000 3.844
Tl 2.155 3.784 0.000
Tl 3.784 6.940 3.844
Tl 5.311 2.155 3.844
Tl 6.940 5.311 0.000
Bi 0.000 4.547 3.844
Bi 4.547 0.000 0.000
Cl 0.575 6.388 1.917
Cl 0.575 6.388 5.772
Cl 2.665 3.970 3.844
Cl 2.707 0.575 1.928
Cl 2.707 0.575 5.761
Cl 3.970 6.429 0.000
Cl 5.125 2.665 0.000
Cl 6.388 8.520 1.928
Cl 6.388 8.520 5.761
Cl 6.429 5.125 3.844
Cl 8.520 2.707 1.917
Cl 8.520 2.707 5.772
```

***

[6]
For Dy5Co2Bi, a structure optimized by DFT (GGA-PBE) gives the calculated powder diffraction line list in this record (λ = 1.5418 Å (Cu Kα)).
Peak positions follow from Bragg's law for the DFT cell and can differ from measured ones.

Principal peaks in the range 2θ = 5–70°, by angle:
d 3.319, I = 47
d 2.856, I = 65
d 2.721, I = 97
d 2.707, I = 25
d 2.526, I = 68
d 2.422, I = 100
d 2.115, I = 35
d 1.664, I = 25
d 1.590, I = 37
d 1.381, I = 34

Cell and atoms:
```
16
Lattice="-3.829 3.829 6.722 3.829 -3.829 6.722 3.829 3.829 -6.722" Properties=species:S:1:pos:R:3 pbc="T T T"
Dy 0.000 0.000 0.000
Dy 5.038 1.209 -1.727
Dy 1.209 2.620 -1.727
Dy 5.038 1.209 1.727
Dy 1.209 2.620 1.727
Dy 0.000 0.000 6.722
Dy 2.620 1.209 4.995
Dy -1.209 2.620 4.995
Dy 2.620 1.209 8.449
Dy -1.209 2.620 8.449
Co 2.796 1.033 0.000
Co 2.796 -1.033 6.722
Co 1.033 4.862 0.000
Co 1.033 2.796 6.722
Bi 0.000 0.000 3.361
Bi 0.000 0.000 10.084
```